# Sr2FeBiPbO6
Computed powder diffraction line list, Cu Kα. Input: a PBE+U-relaxed structure.
Intensities are scaled so that the largest is 100.

Peak list (10 most intense, 2θ from 5° to 70°, in order of falling intensity)
(1 0 5), d = 2.973 Å, I 100; (1 1 0), d = 2.685 Å, I 64; (2 1 5), d = 1.601 Å, I 47; (1 0 3), d = 3.428 Å, I 46; (1 1 8), d = 1.997 Å, I 32; (2 0 0), d = 1.899 Å, I 27; (0 0 2), d = 11.945 Å, I 26; (0 0 8), d = 2.986 Å, I 19; (1 1 10), d = 1.785 Å, I 18; (1 0 13), d = 1.654 Å, I 17

Crystal structure
Cell lengths 3.7977, 3.7977, 23.8895 Å; angles 90.00, 90.00, 90.00 degrees
Space group I4mm (No. 107)
One atom of each set of equivalent atoms:
Sr1 0.0000 0.0000 0.0000
Sr2 0.0000 0.0000 0.1575
Fe1 0.0000 0.0000 0.5840
Bi1 0.0000 0.0000 0.3848
Pb1 0.0000 0.0000 0.7680
O1 0.0000 0.0000 0.2673
O2 0.0000 0.0000 0.4732
O3 0.0000 0.0000 0.6688
O4 0.0000 0.0000 0.8891
O5 0.0000 0.5000 0.0744